Entry 1:
Starting from a structure optimized by DFT (GGA-PBE), the XRD peak list of LaBeCu12 was computed for Cu Kα (weighted mean of Kα1 and Kα2).

Most intense lines, 2θ from 15° to 90°, by angle:
2θ 26.8, 3.323 Å, rel. 20, hkl 2 2 2
2θ 34.9, 2.574 Å, rel. 69, hkl 4 2 0
2θ 38.3, 2.350 Å, rel. 47, hkl 4 2 2
2θ 46.7, 1.946 Å, rel. 100, hkl 5 3 1
2θ 47.4, 1.919 Å, rel. 10, hkl 6 0 0
2θ 50.1, 1.820 Å, rel. 11, hkl 6 2 0
2θ 57.8, 1.596 Å, rel. 20, hkl 6 4 0
2θ 67.0, 1.396 Å, rel. 18, hkl 8 2 0
2θ 75.2, 1.264 Å, rel. 10, hkl 7 5 3
2θ 79.4, 1.207 Å, rel. 10, hkl 9 3 1

Crystal structure
```
data_LaBeCu12
_chemical_formula_sum 'La8 Be8 Cu96'
_space_group_name_H-M_alt 'F m -3 c'
_space_group_IT_number 226
_space_group_name_Hall '-F 4a 2 3'
_cell_length_a 11.5113
_cell_length_b 11.5113
_cell_length_c 11.5113
_cell_angle_alpha 90.00
_cell_angle_beta 90.00
_cell_angle_gamma 90.00
loop_
_atom_site_label
_atom_site_fract_x
_atom_site_fract_y
_atom_site_fract_z
La1 0.2500 0.2500 0.2500
Be1 0.0000 0.0000 0.0000
Cu1 0.0000 0.1149 0.1769
```

=====

Entry 2:
Starting from a structure optimized by DFT (GGA-PBE), the XRD peak list of LaBe2Cu9 was computed for Cu Kα (weighted mean of Kα1 and Kα2).

Most intense lines, 2θ from 15° to 90°, by angle:
2θ 25.3, 3.526 Å, rel. 25, hkl 2 2 0
2θ 30.3, 2.952 Å, rel. 30, hkl 3 0 1
2θ 33.2, 2.700 Å, rel. 22, hkl 2 0 2
2θ 39.8, 2.264 Å, rel. 18, hkl 4 1 1
2θ 40.1, 2.250 Å, rel. 100, hkl 3 1 2
2θ 40.4, 2.230 Å, rel. 84, hkl 4 2 0
2θ 43.2, 2.093 Å, rel. 25, hkl 1 0 3
2θ 46.1, 1.969 Å, rel. 26, hkl 4 0 2
2θ 47.7, 1.905 Å, rel. 38, hkl 5 0 1
2θ 73.3, 1.291 Å, rel. 26, hkl 5 5 2

Crystal structure
```
data_LaBe2Cu9
_chemical_formula_sum 'La4 Be8 Cu36'
_space_group_name_H-M_alt 'I 41/a m d'
_space_group_IT_number 141
_cell_length_a 9.9735
_cell_length_b 9.9735
_cell_length_c 6.4217
_cell_angle_alpha 90.00
_cell_angle_beta 90.00
_cell_angle_gamma 90.00
loop_
_space_group_symop_operation_xyz
'x,y,z'
'-x,-y,-z'
'-y+1/4,x+3/4,z+1/4'
'y+1/4,-x+3/4,-z+1/4'
'-x+1/2,-y,z+1/2'
'x+1/2,y,-z+1/2'
'y+1/4,-x+1/4,z+3/4'
'-y+1/4,x+1/4,-z+3/4'
'x,-y,-z'
'-x,y,z'
'-y+1/4,-x+1/4,-z+3/4'
'y+1/4,x+1/4,z+3/4'
'-x+1/2,y,-z+1/2'
'x+1/2,-y,z+1/2'
'y+1/4,x+3/4,-z+1/4'
'-y+1/4,-x+3/4,z+1/4'
'x+1/2,y+1/2,z+1/2'
'-x+1/2,-y+1/2,-z+1/2'
'-y+3/4,x+1/4,z+3/4'
'y+3/4,-x+1/4,-z+3/4'
'-x,-y+1/2,z'
'x,y+1/2,-z'
'y+3/4,-x+3/4,z+1/4'
'-y+3/4,x+3/4,-z+1/4'
'x+1/2,-y+1/2,-z+1/2'
'-x+1/2,y+1/2,z+1/2'
'-y+3/4,-x+3/4,-z+1/4'
'y+3/4,x+3/4,z+1/4'
'-x,y+1/2,-z'
'x,-y+1/2,z'
'y+3/4,x+1/4,-z+3/4'
'-y+3/4,-x+1/4,z+3/4'
loop_
_atom_site_label
_atom_site_fract_x
_atom_site_fract_y
_atom_site_fract_z
La1 0.0000 0.2500 0.3750
Be1 0.0000 0.0000 0.0000
Cu1 0.0000 0.2500 0.8750
Cu2 0.1233 0.0461 0.6958
```

=====

Entry 3:
Starting from a structure optimized by DFT (GGA-PBE), the XRD peak list of Li2Be15Cu2 was computed for Cu Kα (weighted mean of Kα1 and Kα2).

Most intense lines, 2θ from 15° to 90°, by angle:
2θ 15.9, 5.584 Å, rel. 100, hkl 1 0 1
2θ 23.8, 3.739 Å, rel. 39, hkl 1 1 0
2θ 28.7, 3.107 Å, rel. 20, hkl 0 2 1
2θ 35.4, 2.537 Å, rel. 18, hkl 1 0 4
2θ 37.6, 2.389 Å, rel. 20, hkl 2 1 1
2θ 41.9, 2.159 Å, rel. 19, hkl 3 0 0
2θ 43.1, 2.099 Å, rel. 13, hkl 0 2 4
2θ 43.3, 2.088 Å, rel. 12, hkl 0 1 5
2θ 48.7, 1.869 Å, rel. 16, hkl 2 2 0
2θ 49.8, 1.830 Å, rel. 14, hkl 2 1 4

Crystal structure
```
data_Li2Be15Cu2
_chemical_formula_sum 'Li6 Be45 Cu6'
_space_group_name_H-M_alt 'R -3 m'
_space_group_IT_number 166
_space_group_name_Hall '-R 3 2"'
_cell_length_a 7.4774
_cell_length_b 7.4774
_cell_length_c 11.0288
_cell_angle_alpha 90.00
_cell_angle_beta 90.00
_cell_angle_gamma 120.00
loop_
_atom_site_label
_atom_site_fract_x
_atom_site_fract_y
_atom_site_fract_z
Li1 0.0000 0.0000 0.1604
Be1 0.0000 0.3040 0.5000
Be2 0.0000 0.5000 0.0000
Be3 0.0006 0.5003 0.6594
Cu1 0.0000 0.0000 0.3952
```

=====

Entry 4:
Starting from a structure optimized by DFT (GGA-PBE), the XRD peak list of LiBe6Cu6 was computed for Cu Kα (weighted mean of Kα1 and Kα2).

Most intense lines, 2θ from 15° to 90°, by angle:
2θ 22.5, 3.944 Å, rel. 36, hkl 0 0 2
2θ 25.9, 3.444 Å, rel. 23, hkl 1 0 1
2θ 32.6, 2.747 Å, rel. 64, hkl 1 0 2
2θ 40.8, 2.210 Å, rel. 100, hkl 1 1 0
2θ 41.7, 2.167 Å, rel. 22, hkl 1 0 3
2θ 47.1, 1.928 Å, rel. 47, hkl 1 1 2
2θ 52.2, 1.753 Å, rel. 35, hkl 1 0 4
2θ 53.2, 1.722 Å, rel. 24, hkl 2 0 2
2θ 82.7, 1.167 Å, rel. 17, hkl 2 1 4
2θ 86.0, 1.130 Å, rel. 20, hkl 1 1 6

Crystal structure
```
data_LiBe6Cu6
_chemical_formula_sum 'Li1 Be6 Cu6'
_space_group_name_H-M_alt 'P 6/m m m'
_space_group_IT_number 191
_space_group_name_Hall '-P 6 2'
_cell_length_a 4.4199
_cell_length_b 4.4199
_cell_length_c 7.8884
_cell_angle_alpha 90.00
_cell_angle_beta 90.00
_cell_angle_gamma 120.00
loop_
_atom_site_label
_atom_site_fract_x
_atom_site_fract_y
_atom_site_fract_z
Li1 0.0000 0.0000 0.0000
Be1 0.0000 0.5000 0.2450
Cu1 0.0000 0.0000 0.3474
Cu2 0.3333 0.6667 0.0000
Cu3 0.3333 0.6667 0.5000
```

=====

Entry 5:
Starting from a structure optimized by DFT (GGA-PBE), the XRD peak list of Li2BeCu was computed for Cu Kα (weighted mean of Kα1 and Kα2).

Most intense lines, 2θ from 15° to 90°, by angle:
2θ 19.3, 4.591 Å, rel. 100, hkl 0 0 1
2θ 21.6, 4.107 Å, rel. 68, hkl 2 0 0
2θ 26.7, 3.335 Å, rel. 42, hkl 2 0 -1
2θ 31.4, 2.845 Å, rel. 27, hkl 2 0 1
2θ 37.1, 2.425 Å, rel. 35, hkl 1 1 0
2θ 41.3, 2.187 Å, rel. 26, hkl 1 1 -1
2θ 41.9, 2.155 Å, rel. 21, hkl 2 0 -2
2θ 43.0, 2.104 Å, rel. 40, hkl 1 1 1
2θ 44.1, 2.053 Å, rel. 19, hkl 4 0 0
2θ 50.9, 1.794 Å, rel. 24, hkl 3 1 -1

Crystal structure
```
data_Li2BeCu
_chemical_formula_sum 'Li4 Be2 Cu2'
_space_group_name_H-M_alt 'C 1 m 1'
_space_group_IT_number 8
_cell_length_a 8.3191
_cell_length_b 2.5380
_cell_length_c 4.6500
_cell_angle_alpha 90.00
_cell_angle_beta 99.12
_cell_angle_gamma 90.00
loop_
_space_group_symop_operation_xyz
'x,y,z'
'x,-y,z'
'x+1/2,y+1/2,z'
'x+1/2,-y+1/2,z'
loop_
_atom_site_label
_atom_site_fract_x
_atom_site_fract_y
_atom_site_fract_z
Li1 0.0000 0.0000 0.0000
Li2 0.2356 0.0000 0.7621
Be1 0.4854 0.0000 0.4667
Cu1 0.2554 0.5000 0.2955
```

=====

Entry 6:
Starting from a structure optimized by DFT (GGA-PBE), the XRD peak list of MgBe3Cu10 was computed for Cu Kα (weighted mean of Kα1 and Kα2).

Most intense lines, 2θ from 15° to 90°, by angle:
2θ 22.7, 3.920 Å, rel. 15, hkl 2 2 0
2θ 32.3, 2.772 Å, rel. 15, hkl 4 0 0
2θ 36.2, 2.479 Å, rel. 27, hkl 4 2 0
2θ 39.8, 2.263 Å, rel. 12, hkl 4 2 2
2θ 42.4, 2.134 Å, rel. 100, hkl 3 3 3
2θ 46.3, 1.960 Å, rel. 14, hkl 4 4 0
2θ 48.6, 1.874 Å, rel. 47, hkl 5 3 1
2θ 49.3, 1.848 Å, rel. 14, hkl 6 0 0
2θ 72.3, 1.307 Å, rel. 18, hkl 6 6 0
2θ 85.9, 1.132 Å, rel. 12, hkl 8 4 4

Crystal structure
```
data_MgBe3Cu10
_chemical_formula_sum 'Mg8 Be24 Cu80'
_space_group_name_H-M_alt 'F m -3 m'
_space_group_IT_number 225
_space_group_name_Hall '-F 4 2 3'
_cell_length_a 11.0867
_cell_length_b 11.0867
_cell_length_c 11.0867
_cell_angle_alpha 90.00
_cell_angle_beta 90.00
_cell_angle_gamma 90.00
loop_
_atom_site_label
_atom_site_fract_x
_atom_site_fract_y
_atom_site_fract_z
Mg1 0.2500 0.2500 0.2500
Be1 0.0000 0.0000 0.2297
Cu1 0.0000 0.1718 0.3282
Cu2 0.1162 0.1162 0.1162
```